For LiV2F5, a PBE+U-relaxed structure gives the calculated X-ray powder pattern in this record (Cu Kα (λ = 1.5418 Å)).
Kinematic intensities with the Lorentz-polarization factor, no thermal factor.

Largest 12 diffraction maxima, by intensity, 5 to 70 degrees two-theta:
2θ/deg	I/Imax
18.99	100
25.07	38
50.71	30
33.42	30
49.50	26
60.88	22
49.30	21
38.41	20
38.21	20
39.27	19
24.36	18
36.45	17

Structure:
abc: 5.994 5.994 7.745
angles: 110.93 110.93 52.55
Element x y z (fractional)
Li (0.000, 0.000, 0.000)
Li (0.000, 0.000, 0.500)
V (0.371, 0.382, 0.786)
V (0.382, 0.371, 0.286)
V (0.618, 0.629, 0.714)
V (0.629, 0.618, 0.214)
F (0.038, 0.331, 0.150)
F (0.208, 0.792, 0.250)
F (0.258, 0.578, 0.556)
F (0.331, 0.038, 0.650)
F (0.422, 0.742, 0.944)
F (0.578, 0.258, 0.056)
F (0.669, 0.962, 0.350)
F (0.742, 0.422, 0.444)
F (0.792, 0.208, 0.750)
F (0.962, 0.669, 0.850)